1.
Calculated powder diffraction line list of K2NdCuF6 for Cu Kα, 1.54184 Å, from a DFT-relaxed cell (PBE, the Materials Project).
Kinematic intensities with the Lorentz-polarization factor, no thermal factor.

Most intense lines, 15 to 90 degrees two-theta, in order of rising 2θ:
2θ (°), I_rel, index
16.99, 18, 1 1 1
19.64, 52, 2 0 0
27.92, 100, 2 2 0
39.89, 49, 4 0 0
44.84, 25, 4 2 0
49.39, 40, 4 2 2
57.69, 29, 4 4 0
61.55, 12, 6 0 0
65.28, 17, 6 2 0
79.32, 20, 6 4 2

Structural model:
```
data_K2NdCuF6
_chemical_formula_sum 'K8 Nd4 Cu4 F24'
_cell_length_a 9.040
_cell_length_b 9.040
_cell_length_c 9.040
_cell_angle_alpha 90.00
_cell_angle_beta 90.00
_cell_angle_gamma 90.00
_space_group_name_H-M_alt 'F m -3 m'
_space_group_IT_number 225
_space_group_name_Hall '-F 4 2 3'
loop_
_atom_site_label
_atom_site_type_symbol
_atom_site_fract_x
_atom_site_fract_y
_atom_site_fract_z
K1 K 0.250 0.250 0.250
Nd1 Nd 0.000 0.000 0.000
Cu1 Cu 0.000 0.000 0.500
F1 F 0.000 0.000 0.251
```

2.
Calculated powder diffraction line list of Dy2CdTe4 for Cu Kα, 1.54184 Å, from a DFT-relaxed cell (PBE, the Materials Project).
Kinematic intensities with the Lorentz-polarization factor, no thermal factor.

Most intense lines, 15 to 90 degrees two-theta, in order of rising 2θ:
2θ (°), I_rel, index
23.34, 54, 3 1 1
28.24, 75, 4 0 0
36.95, 31, 5 1 1
40.36, 100, 4 4 0
49.99, 20, 4 4 4
55.86, 13, 5 5 3
58.40, 16, 8 0 0
66.11, 25, 8 4 0
73.39, 32, 8 4 4
87.25, 10, 8 8 0

Structural model:
Cell lengths 12.641, 12.641, 12.641 Å; angles 90.00, 90.00, 90.00 degrees
Space group Fd-3m (No. 227, origin choice 2)
Inequivalent atoms, fractional coordinates:
Dy: 0.000 0.000 0.000 [16 per cell]
Cd: 0.125 0.125 0.625 [8 per cell]
Te: 0.006 0.006 0.244 [32 per cell]

3.
Calculated powder diffraction line list of Al2CoN3 for Cu Kα, 1.54184 Å, from a DFT-relaxed cell (PBE, the Materials Project).
Kinematic intensities with the Lorentz-polarization factor, no thermal factor.

Most intense lines, 15 to 90 degrees two-theta, in order of rising 2θ:
2θ (°), I_rel, index
26.17, 36, 1 1 1
32.59, 85, 3 1 0
33.22, 31, 0 2 0
36.37, 74, 0 0 2
37.45, 100, 3 1 1
38.01, 57, 0 2 1
49.63, 32, 3 1 2
58.96, 46, 3 3 0
66.15, 41, 3 1 3
71.27, 53, 3 3 2

Structural model:
```
data_Al2CoN3
_chemical_formula_sum 'Al8 Co4 N12'
_cell_length_a 9.579
_cell_length_b 5.394
_cell_length_c 4.941
_cell_angle_alpha 90.00
_cell_angle_beta 90.00
_cell_angle_gamma 90.00
_space_group_name_H-M_alt 'C m c 21'
_space_group_IT_number 36
loop_
_space_group_symop_operation_xyz
'x,y,z'
'-x,-y,z+1/2'
'-x,y,z'
'x,-y,z+1/2'
'x+1/2,y+1/2,z'
'-x+1/2,-y+1/2,z+1/2'
'-x+1/2,y+1/2,z'
'x+1/2,-y+1/2,z+1/2'
loop_
_atom_site_label
_atom_site_type_symbol
_atom_site_fract_x
_atom_site_fract_y
_atom_site_fract_z
Al1 Al 0.168 0.165 0.000
Co1 Co 0.000 0.344 0.499
N1 N 0.000 0.323 0.878
N2 N 0.170 0.167 0.382
```

4.
Calculated powder diffraction line list of HfMg14Nb for Cu Kα, 1.54184 Å, from a DFT-relaxed cell (PBE, the Materials Project).
Kinematic intensities with the Lorentz-polarization factor, no thermal factor.

Most intense lines, 15 to 90 degrees two-theta, in order of rising 2θ:
2θ (°), I_rel, index
15.75, 36, 0 0 2
17.45, 27, 2 0 0
18.02, 50, 1 0 2
23.59, 26, 2 0 2
33.18, 33, 0 2 2
35.32, 39, 4 0 0
36.51, 58, 2 0 4
37.72, 100, 2 2 2
49.24, 22, 4 2 2
69.36, 28, 4 2 6

Structural model:
```
data_HfMg14Nb
_chemical_formula_sum 'Hf2 Mg28 Nb2'
_cell_length_a 10.166
_cell_length_b 6.156
_cell_length_c 11.250
_cell_angle_alpha 90.00
_cell_angle_beta 90.00
_cell_angle_gamma 90.00
_space_group_name_H-M_alt 'A m m 2'
_space_group_IT_number 38
loop_
_space_group_symop_operation_xyz
'x,y,z'
'-x,-y,z'
'-x,y,z'
'x,-y,z'
'x,y+1/2,z+1/2'
'-x,-y+1/2,z+1/2'
'-x,y+1/2,z+1/2'
'x,-y+1/2,z+1/2'
loop_
_atom_site_label
_atom_site_type_symbol
_atom_site_fract_x
_atom_site_fract_y
_atom_site_fract_z
Hf1 Hf 0.000 0.000 0.000
Mg1 Mg 0.000 0.249 0.250
Mg2 Mg 0.244 0.000 0.659
Mg3 Mg 0.246 0.246 0.415
Mg4 Mg 0.249 0.000 0.162
Mg5 Mg 0.500 0.000 0.499
Mg6 Mg 0.500 0.000 0.998
Mg7 Mg 0.500 0.249 0.749
Nb1 Nb 0.000 0.000 0.500
```